Record 1
The following is a computed powder diffractogram of Li2V3WO8. It was derived from a crystal structure in the Materials Project, relaxed with PBE+U, using Cu Kα X-rays.
Peak positions follow from Bragg's law for the DFT cell and can differ from measured ones.

The 10 most intense peaks (10 to 80 degrees two-theta), sorted by position:
2θ/deg	Rel. int.
14.56	29
17.85	100
23.11	42
25.35	20
34.53	35
34.63	17
36.15	23
41.94	35
42.10	17
60.93	22

Structure:
```
data_Li2V3WO8
_chemical_formula_sum 'Li8 V12 W4 O32'
_cell_length_a 8.586
_cell_length_b 8.614
_cell_length_c 8.620
_cell_angle_alpha 89.98
_cell_angle_beta 89.98
_cell_angle_gamma 89.99
_space_group_name_H-M_alt 'P 1'
_space_group_IT_number 1
_space_group_name_Hall 'P 1'
loop_
_atom_site_label
_atom_site_type_symbol
_atom_site_fract_x
_atom_site_fract_y
_atom_site_fract_z
_atom_site_occupancy
Li1 Li 0.000 0.000 0.000 1
Li2 Li 0.001 0.500 0.503 1
Li3 Li 0.249 0.750 0.751 1
Li4 Li 0.253 0.252 0.252 1
Li5 Li 0.500 0.502 0.002 1
Li6 Li 0.501 0.003 0.500 1
Li7 Li 0.750 0.752 0.251 1
Li8 Li 0.752 0.250 0.751 1
V1 V 0.121 0.130 0.624 1
V2 V 0.127 0.381 0.871 1
V3 V 0.129 0.628 0.123 1
V4 V 0.373 0.376 0.623 1
V5 V 0.374 0.622 0.371 1
V6 V 0.380 0.873 0.124 1
V7 V 0.622 0.372 0.379 1
V8 V 0.627 0.121 0.131 1
V9 V 0.629 0.875 0.879 1
V10 V 0.873 0.128 0.379 1
V11 V 0.874 0.881 0.631 1
V12 V 0.880 0.630 0.878 1
W1 W 0.125 0.877 0.375 1
W2 W 0.376 0.126 0.875 1
W3 W 0.625 0.626 0.627 1
W4 W 0.877 0.377 0.127 1
O1 O 0.107 0.382 0.113 1
O2 O 0.112 0.114 0.383 1
O3 O 0.114 0.614 0.889 1
O4 O 0.117 0.889 0.610 1
O5 O 0.133 0.639 0.362 1
O6 O 0.138 0.364 0.638 1
O7 O 0.141 0.871 0.141 1
O8 O 0.145 0.138 0.868 1
O9 O 0.357 0.865 0.368 1
O10 O 0.361 0.132 0.641 1
O11 O 0.364 0.638 0.138 1
O12 O 0.368 0.364 0.862 1
O13 O 0.385 0.114 0.110 1
O14 O 0.388 0.389 0.388 1
O15 O 0.390 0.889 0.883 1
O16 O 0.394 0.621 0.612 1
O17 O 0.608 0.121 0.890 1
O18 O 0.611 0.389 0.620 1
O19 O 0.614 0.888 0.114 1
O20 O 0.617 0.614 0.393 1
O21 O 0.633 0.864 0.641 1
O22 O 0.638 0.138 0.364 1
O23 O 0.640 0.632 0.861 1
O24 O 0.646 0.364 0.134 1
O25 O 0.857 0.639 0.634 1
O26 O 0.861 0.371 0.362 1
O27 O 0.864 0.864 0.864 1
O28 O 0.869 0.139 0.140 1
O29 O 0.885 0.389 0.891 1
O30 O 0.887 0.114 0.614 1
O31 O 0.891 0.614 0.120 1
O32 O 0.894 0.882 0.390 1
```

***

Record 2
The following is a computed powder diffractogram of Hg2Mo5O16. It was derived from a crystal structure in the Materials Project, relaxed with PBE+U, using Cu Kα X-rays.
Peak positions follow from Bragg's law for the DFT cell and can differ from measured ones.

The 10 most intense peaks (10 to 80 degrees two-theta), sorted by position:
2θ/deg	Rel. int.
16.99	33
18.61	47
18.78	36
20.78	46
24.65	29
25.04	100
27.31	46
31.73	28
32.75	34
32.88	28

Structure:
```
data_Hg2Mo5O16
_chemical_formula_sum 'Hg4 Mo10 O32'
_cell_length_a 9.404
_cell_length_b 5.640
_cell_length_c 14.573
_cell_angle_alpha 90.00
_cell_angle_beta 109.40
_cell_angle_gamma 90.00
_space_group_name_H-M_alt 'P 1'
_space_group_IT_number 1
_space_group_name_Hall 'P 1'
loop_
_atom_site_label
_atom_site_type_symbol
_atom_site_fract_x
_atom_site_fract_y
_atom_site_fract_z
_atom_site_occupancy
Hg1 Hg 0.089 0.228 0.198 1
Hg2 Hg 0.089 0.772 0.698 1
Hg3 Hg 0.911 0.228 0.302 1
Hg4 Hg 0.911 0.772 0.802 1
Mo1 Mo 0.268 0.223 0.571 1
Mo2 Mo 0.268 0.777 0.071 1
Mo3 Mo 0.371 0.324 0.913 1
Mo4 Mo 0.371 0.676 0.413 1
Mo5 Mo 0.500 0.125 0.250 1
Mo6 Mo 0.500 0.875 0.750 1
Mo7 Mo 0.629 0.324 0.587 1
Mo8 Mo 0.629 0.676 0.087 1
Mo9 Mo 0.732 0.223 0.929 1
Mo10 Mo 0.732 0.777 0.429 1
O1 O 0.098 0.169 0.479 1
O2 O 0.098 0.831 0.979 1
O3 O 0.195 0.357 0.827 1
O4 O 0.195 0.643 0.327 1
O5 O 0.221 0.456 0.634 1
O6 O 0.221 0.544 0.134 1
O7 O 0.288 0.038 0.166 1
O8 O 0.288 0.962 0.666 1
O9 O 0.345 0.094 0.987 1
O10 O 0.345 0.906 0.487 1
O11 O 0.380 0.402 0.500 1
O12 O 0.380 0.598 0.000 1
O13 O 0.438 0.318 0.323 1
O14 O 0.438 0.682 0.823 1
O15 O 0.489 0.177 0.845 1
O16 O 0.489 0.823 0.345 1
O17 O 0.511 0.177 0.655 1
O18 O 0.511 0.823 0.155 1
O19 O 0.562 0.318 0.177 1
O20 O 0.562 0.682 0.677 1
O21 O 0.620 0.402 0.000 1
O22 O 0.620 0.598 0.500 1
O23 O 0.655 0.094 0.513 1
O24 O 0.655 0.906 0.013 1
O25 O 0.712 0.038 0.334 1
O26 O 0.712 0.962 0.834 1
O27 O 0.779 0.456 0.866 1
O28 O 0.779 0.544 0.366 1
O29 O 0.805 0.357 0.673 1
O30 O 0.805 0.643 0.173 1
O31 O 0.902 0.169 0.021 1
O32 O 0.902 0.831 0.521 1
```

***

Record 3
The following is a computed powder diffractogram of Li2Mn5Fe2O12. It was derived from a crystal structure in the Materials Project, relaxed with PBE+U, using Cu Kα X-rays.
Peak positions follow from Bragg's law for the DFT cell and can differ from measured ones.

The 10 most intense peaks (10 to 80 degrees two-theta), sorted by position:
2θ/deg	Rel. int.
18.36	60
19.71	24
20.49	23
23.81	39
31.05	17
37.09	21
42.31	100
44.09	44
62.17	25
63.35	23

Structure:
```
data_Li2Mn5Fe2O12
_chemical_formula_sum 'Li4 Mn10 Fe4 O24'
_cell_length_a 5.170
_cell_length_b 9.006
_cell_length_c 9.915
_cell_angle_alpha 90.00
_cell_angle_beta 102.92
_cell_angle_gamma 90.00
_space_group_name_H-M_alt 'P 1'
_space_group_IT_number 1
_space_group_name_Hall 'P 1'
loop_
_atom_site_label
_atom_site_type_symbol
_atom_site_fract_x
_atom_site_fract_y
_atom_site_fract_z
_atom_site_occupancy
Li1 Li 0.002 0.000 0.237 1
Li2 Li 0.243 0.655 0.011 1
Li3 Li 0.757 0.155 0.989 1
Li4 Li 0.998 0.500 0.763 1
Mn1 Mn 0.007 0.831 0.758 1
Mn2 Mn 0.243 0.169 0.499 1
Mn3 Mn 0.255 0.000 0.003 1
Mn4 Mn 0.259 0.515 0.501 1
Mn5 Mn 0.496 0.315 0.759 1
Mn6 Mn 0.504 0.815 0.241 1
Mn7 Mn 0.741 0.015 0.499 1
Mn8 Mn 0.745 0.500 0.997 1
Mn9 Mn 0.757 0.669 0.501 1
Mn10 Mn 0.993 0.331 0.242 1
Fe1 Fe 0.266 0.838 0.516 1
Fe2 Fe 0.272 0.316 0.013 1
Fe3 Fe 0.728 0.816 0.987 1
Fe4 Fe 0.734 0.338 0.484 1
O1 O 0.095 0.472 0.113 1
O2 O 0.097 0.014 0.600 1
O3 O 0.098 0.675 0.628 1
O4 O 0.125 0.155 0.109 1
O5 O 0.155 0.846 0.123 1
O6 O 0.160 0.335 0.614 1
O7 O 0.333 0.328 0.383 1
O8 O 0.351 0.844 0.884 1
O9 O 0.373 0.159 0.900 1
O10 O 0.378 0.011 0.397 1
O11 O 0.386 0.466 0.881 1
O12 O 0.407 0.680 0.389 1
O13 O 0.593 0.180 0.611 1
O14 O 0.614 0.966 0.119 1
O15 O 0.622 0.511 0.603 1
O16 O 0.627 0.659 0.100 1
O17 O 0.649 0.344 0.116 1
O18 O 0.667 0.828 0.617 1
O19 O 0.840 0.835 0.386 1
O20 O 0.845 0.346 0.877 1
O21 O 0.875 0.655 0.891 1
O22 O 0.902 0.175 0.372 1
O23 O 0.903 0.514 0.400 1
O24 O 0.905 0.972 0.887 1
```

***

Record 4
The following is a computed powder diffractogram of Ba3SrMo4O16. It was derived from a crystal structure in the Materials Project, relaxed with PBE+U, using Cu Kα X-rays.
Peak positions follow from Bragg's law for the DFT cell and can differ from measured ones.

The 10 most intense peaks (10 to 80 degrees two-theta), sorted by position:
2θ/deg	Rel. int.
26.32	100
27.78	16
31.75	22
42.69	29
45.52	11
48.26	17
53.34	20
54.17	13
67.09	8
68.50	14

Structure:
```
data_Ba3SrMo4O16
_chemical_formula_sum 'Ba3 Sr1 Mo4 O16'
_cell_length_a 5.636
_cell_length_b 7.558
_cell_length_c 10.984
_cell_angle_alpha 72.22
_cell_angle_beta 75.13
_cell_angle_gamma 68.11
_space_group_name_H-M_alt 'P 1'
_space_group_IT_number 1
_space_group_name_Hall 'P 1'
loop_
_atom_site_label
_atom_site_type_symbol
_atom_site_fract_x
_atom_site_fract_y
_atom_site_fract_z
_atom_site_occupancy
Ba1 Ba 0.000 0.000 0.000 1
Ba2 Ba 0.001 0.500 0.497 1
Ba3 Ba 0.751 0.625 0.874 1
Sr1 Sr 0.751 0.125 0.374 1
Mo1 Mo 0.251 0.372 0.127 1
Mo2 Mo 0.251 0.878 0.621 1
Mo3 Mo 0.500 0.751 0.251 1
Mo4 Mo 0.502 0.249 0.746 1
O1 O 0.042 0.109 0.541 1
O2 O 0.053 0.607 0.047 1
O3 O 0.085 0.197 0.152 1
O4 O 0.099 0.696 0.645 1
O5 O 0.182 0.813 0.348 1
O6 O 0.189 0.305 0.847 1
O7 O 0.293 0.877 0.778 1
O8 O 0.308 0.367 0.282 1
O9 O 0.458 0.752 0.094 1
O10 O 0.464 0.246 0.588 1
O11 O 0.560 0.318 0.024 1
O12 O 0.566 0.828 0.520 1
O13 O 0.658 0.427 0.726 1
O14 O 0.658 0.928 0.232 1
O15 O 0.697 0.511 0.327 1
O16 O 0.700 0.016 0.827 1
```

***

Record 5
The following is a computed powder diffractogram of Co6OF11. It was derived from a crystal structure in the Materials Project, relaxed with PBE+U, using Cu Kα X-rays.
Peak positions follow from Bragg's law for the DFT cell and can differ from measured ones.

The 10 most intense peaks (10 to 80 degrees two-theta), sorted by position:
2θ/deg	Rel. int.
26.45	90
26.79	88
33.94	100
51.57	30
51.75	30
52.06	56
57.98	18
64.96	18
65.99	21
66.15	21

Structure:
```
data_Co6OF11
_chemical_formula_sum 'Co6 O1 F11'
_cell_length_a 5.699
_cell_length_b 5.699
_cell_length_c 7.464
_cell_angle_alpha 107.17
_cell_angle_beta 107.17
_cell_angle_gamma 71.46
_space_group_name_H-M_alt 'P 1'
_space_group_IT_number 1
_space_group_name_Hall 'P 1'
loop_
_atom_site_label
_atom_site_type_symbol
_atom_site_fract_x
_atom_site_fract_y
_atom_site_fract_z
_atom_site_occupancy
Co1 Co 0.000 0.000 0.000 1
Co2 Co 0.306 0.358 0.334 1
Co3 Co 0.310 0.373 0.842 1
Co4 Co 0.627 0.690 0.158 1
Co5 Co 0.642 0.694 0.666 1
Co6 Co 0.976 0.024 0.500 1
O1 O 0.291 0.709 0.000 1
F1 F 0.077 0.125 0.300 1
F2 F 0.210 0.251 0.035 1
F3 F 0.341 0.004 0.671 1
F4 F 0.414 0.457 0.631 1
F5 F 0.543 0.586 0.369 1
F6 F 0.610 0.048 0.330 1
F7 F 0.688 0.312 0.000 1
F8 F 0.749 0.790 0.965 1
F9 F 0.875 0.923 0.700 1
F10 F 0.952 0.390 0.670 1
F11 F 0.996 0.659 0.329 1
```

***

Record 6
The following is a computed powder diffractogram of FeB6O6. It was derived from a crystal structure in the Materials Project, relaxed with PBE+U, using Cu Kα X-rays.
Peak positions follow from Bragg's law for the DFT cell and can differ from measured ones.

The 10 most intense peaks (10 to 80 degrees two-theta), sorted by position:
2θ/deg	Rel. int.
13.33	100
20.07	8
24.40	13
27.08	38
28.89	8
38.04	16
38.28	7
39.26	5
40.28	7
42.48	19

Structure:
```
data_FeB6O6
_chemical_formula_sum 'Fe1 B6 O6'
_cell_length_a 4.940
_cell_length_b 4.940
_cell_length_c 7.434
_cell_angle_alpha 111.77
_cell_angle_beta 111.77
_cell_angle_gamma 68.56
_space_group_name_H-M_alt 'P 1'
_space_group_IT_number 1
_space_group_name_Hall 'P 1'
loop_
_atom_site_label
_atom_site_type_symbol
_atom_site_fract_x
_atom_site_fract_y
_atom_site_fract_z
_atom_site_occupancy
Fe1 Fe 0.000 0.000 0.000 1
B1 B 0.009 0.345 0.899 1
B2 B 0.345 0.009 0.899 1
B3 B 0.424 0.424 0.771 1
B4 B 0.576 0.576 0.229 1
B5 B 0.655 0.991 0.101 1
B6 B 0.991 0.655 0.101 1
O1 O 0.255 0.255 0.788 1
O2 O 0.276 0.716 0.766 1
O3 O 0.284 0.724 0.234 1
O4 O 0.716 0.276 0.766 1
O5 O 0.724 0.284 0.234 1
O6 O 0.745 0.745 0.212 1
```

***

Record 7
The following is a computed powder diffractogram of LiGa4W2O12. It was derived from a crystal structure in the Materials Project, relaxed with PBE+U, using Cu Kα X-rays.
Peak positions follow from Bragg's law for the DFT cell and can differ from measured ones.

The 10 most intense peaks (10 to 80 degrees two-theta), sorted by position:
2θ/deg	Rel. int.
19.39	16
21.28	44
26.58	68
27.18	64
35.08	100
38.38	29
52.63	44
53.31	42
56.07	12
67.28	26

Structure:
```
data_LiGa4W2O12
_chemical_formula_sum 'Li1 Ga4 W2 O12'
_cell_length_a 4.688
_cell_length_b 9.155
_cell_length_c 4.695
_cell_angle_alpha 90.00
_cell_angle_beta 91.25
_cell_angle_gamma 90.00
_space_group_name_H-M_alt 'P 1'
_space_group_IT_number 1
_space_group_name_Hall 'P 1'
loop_
_atom_site_label
_atom_site_type_symbol
_atom_site_fract_x
_atom_site_fract_y
_atom_site_fract_z
_atom_site_occupancy
Li1 Li 0.000 0.000 0.000 1
Ga1 Ga 0.000 0.091 0.500 1
Ga2 Ga 0.000 0.416 0.500 1
Ga3 Ga 0.500 0.588 0.000 1
Ga4 Ga 0.500 0.909 0.000 1
W1 W 0.000 0.746 0.500 1
W2 W 0.500 0.256 0.000 1
O1 O 0.193 0.921 0.700 1
O2 O 0.198 0.579 0.697 1
O3 O 0.199 0.250 0.700 1
O4 O 0.297 0.752 0.202 1
O5 O 0.303 0.090 0.189 1
O6 O 0.306 0.407 0.195 1
O7 O 0.694 0.407 0.805 1
O8 O 0.697 0.090 0.811 1
O9 O 0.703 0.752 0.798 1
O10 O 0.801 0.250 0.300 1
O11 O 0.802 0.579 0.303 1
O12 O 0.807 0.921 0.300 1
```

***

Record 8
The following is a computed powder diffractogram of Li2MnCO5. It was derived from a crystal structure in the Materials Project, relaxed with PBE+U, using Cu Kα X-rays.
Peak positions follow from Bragg's law for the DFT cell and can differ from measured ones.

The 10 most intense peaks (10 to 80 degrees two-theta), sorted by position:
2θ/deg	Rel. int.
17.70	72
18.80	100
30.22	29
30.74	33
35.83	25
36.28	50
42.75	17
45.13	40
59.33	18
60.53	18

Structure:
```
data_Li2MnCO5
_chemical_formula_sum 'Li8 Mn4 C4 O20'
_cell_length_a 9.438
_cell_length_b 11.830
_cell_length_c 2.909
_cell_angle_alpha 90.00
_cell_angle_beta 90.00
_cell_angle_gamma 90.00
_space_group_name_H-M_alt 'P 1'
_space_group_IT_number 1
_space_group_name_Hall 'P 1'
loop_
_atom_site_label
_atom_site_type_symbol
_atom_site_fract_x
_atom_site_fract_y
_atom_site_fract_z
_atom_site_occupancy
Li1 Li 0.000 0.000 0.000 1
Li2 Li 0.000 0.500 0.500 1
Li3 Li 0.006 0.216 0.500 1
Li4 Li 0.494 0.716 0.500 1
Li5 Li 0.500 0.000 0.500 1
Li6 Li 0.500 0.500 0.000 1
Li7 Li 0.506 0.284 0.500 1
Li8 Li 0.994 0.784 0.500 1
Mn1 Mn 0.243 0.387 0.000 1
Mn2 Mn 0.257 0.887 0.000 1
Mn3 Mn 0.743 0.113 0.000 1
Mn4 Mn 0.757 0.613 0.000 1
C1 C 0.239 0.638 0.000 1
C2 C 0.261 0.138 0.000 1
C3 C 0.739 0.862 0.000 1
C4 C 0.761 0.362 0.000 1
O1 O 0.117 0.356 0.500 1
O2 O 0.128 0.137 0.000 1
O3 O 0.130 0.920 0.500 1
O4 O 0.161 0.545 0.000 1
O5 O 0.165 0.732 0.000 1
O6 O 0.335 0.232 0.000 1
O7 O 0.339 0.045 0.000 1
O8 O 0.370 0.420 0.500 1
O9 O 0.372 0.637 0.000 1
O10 O 0.383 0.856 0.500 1
O11 O 0.617 0.144 0.500 1
O12 O 0.628 0.363 0.000 1
O13 O 0.630 0.580 0.500 1
O14 O 0.661 0.955 0.000 1
O15 O 0.665 0.768 0.000 1
O16 O 0.835 0.268 0.000 1
O17 O 0.839 0.455 0.000 1
O18 O 0.870 0.080 0.500 1
O19 O 0.872 0.863 0.000 1
O20 O 0.883 0.644 0.500 1
```